For Cs4NdBr6, DFT lattice parameters and positions (PBE) gives the calculated powder diffractogram in this record (Cu Kα (weighted mean of Kα1 and Kα2)).
Neutral-atom scattering factors, no anomalous dispersion.

Largest 10 diffraction maxima, in order of rising 2θ, 10° ≤ 2θ ≤ 80°:
2θ = 12.4°, rel. 34; 2θ = 26.5°, rel. 100; 2θ = 27.6°, rel. 15; 2θ = 28.3°, rel. 60; 2θ = 29.7°, rel. 11; 2θ = 35.0°, rel. 21; 2θ = 40.5°, rel. 15; 2θ = 41.3°, rel. 13; 2θ = 45.7°, rel. 24; 2θ = 57.8°, rel. 11

Atomic structure:
Unit cell a=9.965 b=9.965 c=10.243 alpha=90.00 beta=90.00 gamma=90.00
Atoms (fractional coordinates):
Cs (0.168, 0.332, 0.250)
Cs (0.168, 0.332, 0.750)
Cs (0.332, 0.832, 0.250)
Cs (0.332, 0.832, 0.750)
Cs (0.668, 0.168, 0.250)
Cs (0.668, 0.168, 0.750)
Cs (0.832, 0.668, 0.250)
Cs (0.832, 0.668, 0.750)
Nd (0.000, 0.000, 0.000)
Nd (0.500, 0.500, 0.500)
Br (0.000, 0.000, 0.287)
Br (0.000, 0.000, 0.713)
Br (0.096, 0.708, 0.000)
Br (0.208, 0.596, 0.500)
Br (0.292, 0.096, 0.000)
Br (0.404, 0.208, 0.500)
Br (0.500, 0.500, 0.213)
Br (0.500, 0.500, 0.787)
Br (0.596, 0.792, 0.500)
Br (0.708, 0.904, 0.000)
Br (0.792, 0.404, 0.500)
Br (0.904, 0.292, 0.000)

For Cs3Nd2Br8, DFT lattice parameters and positions (PBE) gives the calculated powder diffractogram in this record (Cu Kα (weighted mean of Kα1 and Kα2)).
Neutral-atom scattering factors, no anomalous dispersion.

Largest 10 diffraction maxima, in order of rising 2θ, 10° ≤ 2θ ≤ 80°:
2θ = 20.0°, rel. 100; 2θ = 24.0°, rel. 30; 2θ = 26.3°, rel. 29; 2θ = 27.5°, rel. 23; 2θ = 28.0°, rel. 54; 2θ = 28.1°, rel. 35; 2θ = 34.7°, rel. 44; 2θ = 40.0°, rel. 27; 2θ = 40.7°, rel. 55; 2θ = 50.2°, rel. 47

Atomic structure:
Unit cell a=10.814 b=10.814 c=10.814 alpha=48.43 beta=48.43 gamma=48.43
Atoms (fractional coordinates):
Cs (0.000, 0.000, 0.000)
Cs (0.205, 0.205, 0.205)
Cs (0.795, 0.795, 0.795)
Nd (0.428, 0.428, 0.428)
Nd (0.572, 0.572, 0.572)
Br (0.199, 0.743, 0.743)
Br (0.257, 0.257, 0.801)
Br (0.257, 0.801, 0.257)
Br (0.328, 0.328, 0.328)
Br (0.672, 0.672, 0.672)
Br (0.743, 0.199, 0.743)
Br (0.743, 0.743, 0.199)
Br (0.801, 0.257, 0.257)

For Cs3Ni2Br8, DFT lattice parameters and positions (PBE) gives the calculated powder diffractogram in this record (Cu Kα (weighted mean of Kα1 and Kα2)).
Neutral-atom scattering factors, no anomalous dispersion.

Largest 10 diffraction maxima, in order of rising 2θ, 10° ≤ 2θ ≤ 80°:
2θ = 19.8°, rel. 53; 2θ = 23.3°, rel. 100; 2θ = 26.4°, rel. 77; 2θ = 27.6°, rel. 87; 2θ = 29.5°, rel. 62; 2θ = 30.8°, rel. 89; 2θ = 34.1°, rel. 34; 2θ = 42.6°, rel. 34; 2θ = 47.6°, rel. 84; 2θ = 55.3°, rel. 58

Atomic structure:
Unit cell a=11.056 b=11.056 c=11.056 alpha=40.41 beta=40.41 gamma=40.41
Atoms (fractional coordinates):
Cs (0.000, 0.000, 0.000)
Cs (0.213, 0.213, 0.213)
Cs (0.787, 0.787, 0.787)
Ni (0.412, 0.412, 0.412)
Ni (0.588, 0.588, 0.588)
Br (0.226, 0.733, 0.733)
Br (0.267, 0.267, 0.774)
Br (0.267, 0.774, 0.267)
Br (0.335, 0.335, 0.335)
Br (0.665, 0.665, 0.665)
Br (0.733, 0.226, 0.733)
Br (0.733, 0.733, 0.226)
Br (0.774, 0.267, 0.267)

For Cs4NiBr6, DFT lattice parameters and positions (PBE) gives the calculated powder diffractogram in this record (Cu Kα (weighted mean of Kα1 and Kα2)).
Neutral-atom scattering factors, no anomalous dispersion.

Largest 10 diffraction maxima, in order of rising 2θ, 10° ≤ 2θ ≤ 80°:
2θ = 12.6°, rel. 38; 2θ = 20.4°, rel. 17; 2θ = 26.9°, rel. 100; 2θ = 29.0°, rel. 38; 2θ = 31.3°, rel. 19; 2θ = 34.0°, rel. 17; 2θ = 35.1°, rel. 24; 2θ = 38.1°, rel. 18; 2θ = 46.2°, rel. 20; 2θ = 58.1°, rel. 19

Atomic structure:
Unit cell a=9.732 b=9.732 c=10.221 alpha=90.00 beta=90.00 gamma=90.00
Atoms (fractional coordinates):
Cs (0.171, 0.329, 0.250)
Cs (0.171, 0.329, 0.750)
Cs (0.329, 0.829, 0.250)
Cs (0.329, 0.829, 0.750)
Cs (0.671, 0.171, 0.250)
Cs (0.671, 0.171, 0.750)
Cs (0.829, 0.671, 0.250)
Cs (0.829, 0.671, 0.750)
Ni (0.000, 0.000, 0.000)
Ni (0.500, 0.500, 0.500)
Br (0.000, 0.000, 0.250)
Br (0.000, 0.000, 0.750)
Br (0.085, 0.735, 0.000)
Br (0.235, 0.585, 0.500)
Br (0.265, 0.085, 0.000)
Br (0.415, 0.235, 0.500)
Br (0.500, 0.500, 0.250)
Br (0.500, 0.500, 0.750)
Br (0.585, 0.765, 0.500)
Br (0.735, 0.915, 0.000)
Br (0.765, 0.415, 0.500)
Br (0.915, 0.265, 0.000)

For Cs3NiBr5, DFT lattice parameters and positions (PBE) gives the calculated powder diffractogram in this record (Cu Kα (weighted mean of Kα1 and Kα2)).
Neutral-atom scattering factors, no anomalous dispersion.

Largest 10 diffraction maxima, in order of rising 2θ, 10° ≤ 2θ ≤ 80°:
2θ = 21.4°, rel. 22; 2θ = 25.6°, rel. 17; 2θ = 26.7°, rel. 100; 2θ = 28.7°, rel. 46; 2θ = 34.7°, rel. 21; 2θ = 41.1°, rel. 12; 2θ = 45.7°, rel. 12; 2θ = 47.6°, rel. 10; 2θ = 51.4°, rel. 12; 2θ = 53.3°, rel. 18

Atomic structure:
Unit cell a=10.396 b=10.396 c=10.396 alpha=123.60 beta=123.60 gamma=83.87
Atoms (fractional coordinates):
Cs (0.165, 0.665, 0.830)
Cs (0.250, 0.250, 0.000)
Cs (0.335, 0.165, 0.500)
Cs (0.665, 0.835, 0.500)
Cs (0.750, 0.750, 0.000)
Cs (0.835, 0.335, 0.170)
Ni (0.250, 0.750, 0.500)
Ni (0.750, 0.250, 0.500)
Br (0.000, 0.000, 0.000)
Br (0.019, 0.789, 0.500)
Br (0.211, 0.711, 0.230)
Br (0.289, 0.519, 0.500)
Br (0.481, 0.981, 0.770)
Br (0.500, 0.500, 0.000)
Br (0.519, 0.019, 0.230)
Br (0.711, 0.481, 0.500)
Br (0.789, 0.289, 0.770)
Br (0.981, 0.211, 0.500)

For CsNiRhBr6, DFT lattice parameters and positions (PBE) gives the calculated powder diffractogram in this record (Cu Kα (weighted mean of Kα1 and Kα2)).
Neutral-atom scattering factors, no anomalous dispersion.

Largest 10 diffraction maxima, in order of rising 2θ, 10° ≤ 2θ ≤ 80°:
2θ = 10.7°, rel. 73; 2θ = 18.9°, rel. 93; 2θ = 29.1°, rel. 71; 2θ = 34.7°, rel. 100; 2θ = 42.6°, rel. 14; 2θ = 43.3°, rel. 21; 2θ = 45.6°, rel. 18; 2θ = 47.8°, rel. 35; 2θ = 52.0°, rel. 30; 2θ = 60.4°, rel. 17

Atomic structure:
Unit cell a=6.598 b=6.598 c=8.306 alpha=90.00 beta=90.00 gamma=120.00
Atoms (fractional coordinates):
Cs (0.000, 0.000, 0.000)
Ni (0.667, 0.333, 0.500)
Rh (0.333, 0.667, 0.500)
Br (0.005, 0.368, 0.671)
Br (0.005, 0.637, 0.329)
Br (0.363, 0.368, 0.329)
Br (0.363, 0.995, 0.671)
Br (0.632, 0.637, 0.671)
Br (0.632, 0.995, 0.329)

For CsVNiBr6, DFT lattice parameters and positions (PBE) gives the calculated powder diffractogram in this record (Cu Kα (weighted mean of Kα1 and Kα2)).
Neutral-atom scattering factors, no anomalous dispersion.

Largest 10 diffraction maxima, in order of rising 2θ, 10° ≤ 2θ ≤ 80°:
2θ = 10.7°, rel. 50; 2θ = 18.8°, rel. 88; 2θ = 28.9°, rel. 92; 2θ = 32.5°, rel. 19; 2θ = 34.6°, rel. 100; 2θ = 42.9°, rel. 23; 2θ = 45.5°, rel. 20; 2θ = 47.2°, rel. 35; 2θ = 52.1°, rel. 29; 2θ = 58.7°, rel. 17

Atomic structure:
Unit cell a=6.668 b=6.668 c=8.256 alpha=90.00 beta=90.00 gamma=120.00
Atoms (fractional coordinates):
Cs (0.000, 0.000, 0.000)
V (0.667, 0.333, 0.500)
Ni (0.333, 0.667, 0.500)
Br (0.000, 0.371, 0.676)
Br (0.000, 0.628, 0.324)
Br (0.372, 0.000, 0.676)
Br (0.372, 0.371, 0.324)
Br (0.629, 0.000, 0.324)
Br (0.629, 0.628, 0.676)

For CsNpBr6, DFT lattice parameters and positions (PBE) gives the calculated powder diffractogram in this record (Cu Kα (weighted mean of Kα1 and Kα2)).
Neutral-atom scattering factors, no anomalous dispersion.

Largest 10 diffraction maxima, in order of rising 2θ, 10° ≤ 2θ ≤ 80°:
2θ = 13.4°, rel. 66; 2θ = 18.4°, rel. 100; 2θ = 23.2°, rel. 32; 2θ = 26.5°, rel. 36; 2θ = 27.7°, rel. 36; 2θ = 34.6°, rel. 70; 2θ = 38.1°, rel. 36; 2θ = 40.8°, rel. 35; 2θ = 47.5°, rel. 25; 2θ = 53.5°, rel. 25

Atomic structure:
Unit cell a=7.654 b=7.654 c=14.084 alpha=90.00 beta=90.00 gamma=120.00
Atoms (fractional coordinates):
Cs (0.333, 0.667, 0.250)
Cs (0.667, 0.333, 0.750)
Np (0.000, 0.000, 0.000)
Np (0.000, 0.000, 0.500)
Br (0.085, 0.321, 0.610)
Br (0.085, 0.764, 0.890)
Br (0.236, 0.321, 0.890)
Br (0.236, 0.915, 0.610)
Br (0.321, 0.085, 0.110)
Br (0.321, 0.236, 0.390)
Br (0.679, 0.764, 0.610)
Br (0.679, 0.915, 0.890)
Br (0.764, 0.085, 0.390)
Br (0.764, 0.679, 0.110)
Br (0.915, 0.236, 0.110)
Br (0.915, 0.679, 0.390)

For CsNpPbBr6, DFT lattice parameters and positions (PBE) gives the calculated powder diffractogram in this record (Cu Kα (weighted mean of Kα1 and Kα2)).
Neutral-atom scattering factors, no anomalous dispersion.

Largest 10 diffraction maxima, in order of rising 2θ, 10° ≤ 2θ ≤ 80°:
2θ = 10.2°, rel. 46; 2θ = 19.2°, rel. 100; 2θ = 19.6°, rel. 36; 2θ = 20.0°, rel. 26; 2θ = 20.5°, rel. 60; 2θ = 30.2°, rel. 24; 2θ = 32.7°, rel. 30; 2θ = 33.4°, rel. 84; 2θ = 34.1°, rel. 22; 2θ = 38.9°, rel. 24

Atomic structure:
Unit cell a=10.749 b=10.749 c=10.749 alpha=121.48 beta=118.77 gamma=89.80
Atoms (fractional coordinates):
Cs (0.333, 0.083, 0.250)
Cs (0.667, 0.917, 0.750)
Np (0.000, 0.500, 0.500)
Np (0.500, 0.500, 0.000)
Pb (0.000, 0.000, 0.500)
Pb (0.000, 0.500, 0.000)
Br (0.089, 0.421, 0.262)
Br (0.089, 0.827, 0.668)
Br (0.096, 0.846, 0.250)
Br (0.311, 0.561, 0.750)
Br (0.341, 0.173, 0.762)
Br (0.341, 0.579, 0.168)
Br (0.659, 0.421, 0.832)
Br (0.659, 0.827, 0.238)
Br (0.689, 0.439, 0.250)
Br (0.904, 0.154, 0.750)
Br (0.911, 0.173, 0.332)
Br (0.911, 0.579, 0.738)

For CsNpPdBr6, DFT lattice parameters and positions (PBE) gives the calculated powder diffractogram in this record (Cu Kα (weighted mean of Kα1 and Kα2)).
Neutral-atom scattering factors, no anomalous dispersion.

Largest 10 diffraction maxima, in order of rising 2θ, 10° ≤ 2θ ≤ 80°:
2θ = 10.4°, rel. 75; 2θ = 17.9°, rel. 100; 2θ = 27.5°, rel. 54; 2θ = 31.2°, rel. 19; 2θ = 33.0°, rel. 100; 2θ = 40.6°, rel. 26; 2θ = 40.8°, rel. 24; 2θ = 44.7°, rel. 40; 2θ = 50.0°, rel. 23; 2θ = 56.7°, rel. 20

Atomic structure:
Unit cell a=7.026 b=7.026 c=8.537 alpha=90.00 beta=90.00 gamma=120.00
Atoms (fractional coordinates):
Cs (0.000, 0.000, 0.000)
Np (0.333, 0.667, 0.500)
Pd (0.667, 0.333, 0.500)
Br (0.363, 0.006, 0.692)
Br (0.363, 0.357, 0.308)
Br (0.643, 0.006, 0.308)
Br (0.643, 0.637, 0.692)
Br (0.994, 0.357, 0.692)
Br (0.994, 0.637, 0.308)

For CsRb2NpBr8, DFT lattice parameters and positions (PBE) gives the calculated powder diffractogram in this record (Cu Kα (weighted mean of Kα1 and Kα2)).
Neutral-atom scattering factors, no anomalous dispersion.

Largest 10 diffraction maxima, in order of rising 2θ, 10° ≤ 2θ ≤ 80°:
2θ = 12.0°, rel. 35; 2θ = 15.5°, rel. 30; 2θ = 16.4°, rel. 39; 2θ = 19.2°, rel. 55; 2θ = 20.3°, rel. 74; 2θ = 26.6°, rel. 38; 2θ = 30.6°, rel. 100; 2θ = 32.1°, rel. 41; 2θ = 33.8°, rel. 48; 2θ = 36.9°, rel. 30

Atomic structure:
Unit cell a=6.787 b=10.909 c=7.454 alpha=90.00 beta=98.99 gamma=90.00
Atoms (fractional coordinates):
Cs (0.000, 0.000, 0.000)
Rb (0.500, 0.251, 0.500)
Rb (0.500, 0.749, 0.500)
Np (0.000, 0.500, 0.000)
Br (0.103, 0.319, 0.778)
Br (0.103, 0.681, 0.778)
Br (0.370, 0.500, 0.205)
Br (0.487, 0.000, 0.759)
Br (0.513, 0.000, 0.241)
Br (0.630, 0.500, 0.795)
Br (0.897, 0.319, 0.222)
Br (0.897, 0.681, 0.222)

For Cs2NpSe2Br4, DFT lattice parameters and positions (PBE) gives the calculated powder diffractogram in this record (Cu Kα (weighted mean of Kα1 and Kα2)).
Neutral-atom scattering factors, no anomalous dispersion.

Largest 10 diffraction maxima, in order of rising 2θ, 10° ≤ 2θ ≤ 80°:
2θ = 13.0°, rel. 34; 2θ = 13.4°, rel. 34; 2θ = 18.7°, rel. 29; 2θ = 18.8°, rel. 46; 2θ = 22.8°, rel. 28; 2θ = 29.4°, rel. 100; 2θ = 29.6°, rel. 38; 2θ = 30.0°, rel. 57; 2θ = 37.9°, rel. 47; 2θ = 46.5°, rel. 34

Atomic structure:
Unit cell a=7.811 b=7.811 c=6.593 alpha=90.75 beta=90.75 gamma=60.67
Atoms (fractional coordinates):
Cs (0.168, 0.168, 0.250)
Cs (0.832, 0.832, 0.750)
Np (0.500, 0.500, 0.000)
Se (0.348, 0.348, 0.773)
Se (0.652, 0.652, 0.227)
Br (0.166, 0.665, 0.234)
Br (0.335, 0.834, 0.766)
Br (0.665, 0.166, 0.234)
Br (0.834, 0.335, 0.766)